# 1
Theoretical PXRD pattern of HfTaNO3 for λ = 1.5418 Å (Cu Kα), from a crystal structure in the Materials Project, relaxed with GGA-PBE.
Peak positions follow from Bragg's law for the DFT cell and can differ from measured ones.

Structural model:
a = 5.072 Å, b = 5.129 Å, c = 5.305 Å
α = 90.00°, β = 99.25°, γ = 90.00°
Atoms (fractional coordinates):
Hf (0.218, 0.000, 0.037)
Hf (0.782, 0.500, 0.963)
Ta (0.212, 0.593, 0.537)
Ta (0.788, 0.093, 0.463)
N (0.052, 0.305, 0.288)
N (0.948, 0.805, 0.712)
O (0.054, 0.292, 0.771)
O (0.424, 0.695, 0.899)
O (0.439, 0.850, 0.400)
O (0.561, 0.350, 0.600)
O (0.576, 0.195, 0.101)
O (0.946, 0.792, 0.229)

Main lines, by angle (10° ≤ 2θ ≤ 90°):
28.5 deg, I = 100.0
31.8 deg, I = 82.6
34.3 deg, I = 28.9
35.9 deg, I = 21.7
41.3 deg, I = 20.2
51.0 deg, I = 18.9

# 2
Theoretical PXRD pattern of YGa6Fe6 for λ = 1.5418 Å (Cu Kα), from a crystal structure in the Materials Project, relaxed with GGA-PBE.
Peak positions follow from Bragg's law for the DFT cell and can differ from measured ones.

Structural model:
a = 8.627 Å, b = 6.730 Å, c = 6.513 Å
α = 81.28°, β = 50.45°, γ = 48.27°
Atoms (fractional coordinates):
Y (0.000, 0.000, 0.000)
Ga (0.000, 0.000, 0.500)
Ga (0.016, 0.350, 0.650)
Ga (0.350, 0.016, 0.984)
Ga (0.500, 0.500, 0.000)
Ga (0.650, 0.984, 0.016)
Ga (0.984, 0.650, 0.350)
Fe (0.000, 0.500, 0.000)
Fe (0.284, 0.494, 0.506)
Fe (0.494, 0.284, 0.716)
Fe (0.500, 0.000, 0.500)
Fe (0.506, 0.716, 0.284)
Fe (0.716, 0.506, 0.494)

Main lines, by angle (10° ≤ 2θ ≤ 90°):
35.8 deg, I = 71.3
40.8 deg, I = 100.0
41.0 deg, I = 69.9
41.9 deg, I = 68.4
42.3 deg, I = 45.6
46.5 deg, I = 62.2

# 3
Theoretical PXRD pattern of CePO4 for λ = 1.5418 Å (Cu Kα), from a crystal structure in the Materials Project, relaxed with GGA-PBE.
Peak positions follow from Bragg's law for the DFT cell and can differ from measured ones.

Structural model:
a = 6.508 Å, b = 7.091 Å, c = 8.262 Å
α = 90.00°, β = 125.89°, γ = 90.00°
Atoms (fractional coordinates):
Ce (0.187, 0.158, 0.287)
Ce (0.187, 0.342, 0.787)
Ce (0.813, 0.658, 0.213)
Ce (0.813, 0.842, 0.713)
P (0.306, 0.662, 0.195)
P (0.306, 0.838, 0.695)
P (0.694, 0.162, 0.305)
P (0.694, 0.338, 0.805)
O (0.116, 0.670, 0.618)
O (0.116, 0.830, 0.118)
O (0.189, 0.505, 0.250)
O (0.189, 0.995, 0.750)
O (0.335, 0.603, 0.028)
O (0.335, 0.897, 0.528)
O (0.419, 0.212, 0.128)
O (0.419, 0.288, 0.628)
O (0.581, 0.712, 0.372)
O (0.581, 0.788, 0.872)
O (0.665, 0.103, 0.472)
O (0.665, 0.397, 0.972)
O (0.811, 0.005, 0.250)
O (0.811, 0.495, 0.750)
O (0.884, 0.170, 0.882)
O (0.884, 0.330, 0.382)

Main lines, by angle (10° ≤ 2θ ≤ 90°):
21.0 deg, I = 44.9
26.6 deg, I = 58.4
28.5 deg, I = 100.0
31.0 deg, I = 90.3
45.8 deg, I = 33.1
48.0 deg, I = 28.3

# 4
Theoretical PXRD pattern of Bi3Pb for λ = 1.5418 Å (Cu Kα), from a crystal structure in the Materials Project, relaxed with GGA-PBE.
Peak positions follow from Bragg's law for the DFT cell and can differ from measured ones.

Structural model:
a = 5.627 Å, b = 5.627 Å, c = 5.627 Å
α = 60.00°, β = 60.00°, γ = 60.00°
Atoms (fractional coordinates):
Bi (0.000, 0.000, 0.000)
Bi (0.250, 0.250, 0.250)
Bi (0.750, 0.750, 0.750)
Pb (0.500, 0.500, 0.500)

Main lines, by angle (10° ≤ 2θ ≤ 90°):
31.8 deg, I = 100.0
45.6 deg, I = 19.0
56.7 deg, I = 40.4
66.5 deg, I = 12.7
75.6 deg, I = 17.9
84.3 deg, I = 4.6

# 5
Theoretical PXRD pattern of Ni4B3 for λ = 1.5418 Å (Cu Kα), from a crystal structure in the Materials Project, relaxed with GGA-PBE.
Peak positions follow from Bragg's law for the DFT cell and can differ from measured ones.

Structural model:
a = 11.910 Å, b = 2.992 Å, c = 6.571 Å
α = 90.00°, β = 90.00°, γ = 90.00°
Atoms (fractional coordinates):
Ni (0.049, 0.250, 0.250)
Ni (0.125, 0.250, 0.666)
Ni (0.149, 0.750, 0.989)
Ni (0.200, 0.750, 0.377)
Ni (0.300, 0.250, 0.877)
Ni (0.351, 0.250, 0.489)
Ni (0.375, 0.750, 0.166)
Ni (0.451, 0.750, 0.750)
Ni (0.549, 0.250, 0.250)
Ni (0.625, 0.250, 0.834)
Ni (0.649, 0.750, 0.511)
Ni (0.700, 0.750, 0.123)
Ni (0.800, 0.250, 0.623)
Ni (0.851, 0.250, 0.011)
Ni (0.875, 0.750, 0.334)
Ni (0.951, 0.750, 0.750)
B (0.025, 0.250, 0.937)
B (0.038, 0.750, 0.478)
B (0.241, 0.250, 0.178)
B (0.259, 0.750, 0.678)
B (0.462, 0.250, 0.978)
B (0.475, 0.750, 0.437)
B (0.525, 0.250, 0.563)
B (0.538, 0.750, 0.022)
B (0.741, 0.250, 0.322)
B (0.759, 0.750, 0.822)
B (0.962, 0.250, 0.522)
B (0.975, 0.750, 0.063)

Main lines, by angle (10° ≤ 2θ ≤ 90°):
36.3 deg, I = 56.8
42.8 deg, I = 72.4
43.6 deg, I = 100.0
47.0 deg, I = 47.9
47.4 deg, I = 44.0
47.9 deg, I = 57.0

Which formula does entry 3 have? CePO4